# 1
Starting from DFT lattice parameters and positions (PBE), the PXRD pattern of TbSm2SbN4 was calculated for Cu Kα.
Lines closer than 0.1° are merged.

Top 10 peaks for 2θ from 10° to 90°, in order of rising 2θ:
- 30.73°, 2.910 Å, I 34
- 30.85°, 2.899 Å, I 100
- 35.73°, 2.513 Å, I 99
- 51.35°, 1.779 Å, I 34
- 51.51°, 1.774 Å, I 34
- 61.04°, 1.518 Å, I 15
- 61.19°, 1.515 Å, I 40
- 64.27°, 1.449 Å, I 17
- 75.70°, 1.256 Å, I 11
- 86.51°, 1.125 Å, I 15

Atomic structure:
```
TbSm2SbN4
1.0
6.1416 0.0000 0.0000
0.0000 3.5513 0.0000
-2.0471 0.0000 5.8196
Tb Sm Sb N
1 2 1 4
Direct
0.0000 0.0000 0.0000 Tb
0.5000 0.0000 0.5000 Sm
0.5000 0.5000 0.0000 Sm
0.0000 0.5000 0.5000 Sb
0.2502 0.5000 0.2421 N
0.2561 0.0000 0.7604 N
0.7439 0.0000 0.2396 N
0.7498 0.5000 0.7579 N
```

=====

# 2
Starting from DFT lattice parameters and positions (PBE), the PXRD pattern of KIn6I8 was calculated for Cu Kα.
Lines closer than 0.1° are merged.

Top 10 peaks for 2θ from 10° to 90°, in order of rising 2θ:
- 22.58°, 3.937 Å, I 16
- 22.83°, 3.896 Å, I 15
- 24.39°, 3.649 Å, I 36
- 25.66°, 3.472 Å, I 32
- 28.61°, 3.120 Å, I 100
- 30.95°, 2.889 Å, I 27
- 34.60°, 2.592 Å, I 52
- 35.09°, 2.557 Å, I 27
- 41.72°, 2.165 Å, I 28
- 47.48°, 1.915 Å, I 15

Atomic structure:
```
KIn6I8
1.0
12.0279 0.0000 0.0000
-6.0140 10.4165 0.0000
0.0000 0.0000 5.1141
K In I
1 6 8
Direct
0.0000 0.0000 0.0000 K
0.1328 0.4701 0.7515 In
0.3373 0.8672 0.7515 In
0.4701 0.3373 0.2485 In
0.5299 0.6627 0.7515 In
0.6627 0.1328 0.2485 In
0.8672 0.5299 0.2485 In
0.0279 0.7235 0.7504 I
0.2765 0.3044 0.7504 I
0.3044 0.0279 0.2496 I
0.3333 0.6667 0.2493 I
0.6667 0.3333 0.7507 I
0.6956 0.9721 0.7504 I
0.7235 0.6956 0.2496 I
0.9721 0.2765 0.2496 I
```

=====

# 3
Starting from DFT lattice parameters and positions (PBE), the PXRD pattern of CsInPt was calculated for Cu Kα.
Lines closer than 0.1° are merged.

Top 10 peaks for 2θ from 10° to 90°, in order of rising 2θ:
- 15.06°, 5.882 Å, I 24
- 27.01°, 3.301 Å, I 100
- 30.39°, 2.941 Å, I 28
- 39.12°, 2.303 Å, I 42
- 42.15°, 2.144 Å, I 12
- 48.19°, 1.888 Å, I 20
- 50.33°, 1.813 Å, I 41
- 51.97°, 1.759 Å, I 16
- 63.74°, 1.460 Å, I 18
- 76.94°, 1.239 Å, I 12

Atomic structure:
```
CsInPt
1.0
4.6051 0.0000 0.0000
-2.3025 3.9881 0.0000
0.0000 0.0000 5.8817
Cs In Pt
1 1 1
Direct
0.0000 0.0000 0.0000 Cs
0.6667 0.3333 0.5000 In
0.3333 0.6667 0.5000 Pt
```

=====

# 4
Starting from DFT lattice parameters and positions (PBE), the PXRD pattern of BaTlPb11 was calculated for Cu Kα.
Lines closer than 0.1° are merged.

Top 10 peaks for 2θ from 10° to 90°, in order of rising 2θ:
- 26.83°, 3.323 Å, I 50
- 30.80°, 2.903 Å, I 65
- 31.01°, 2.884 Å, I 86
- 31.20°, 2.867 Å, I 100
- 31.32°, 2.856 Å, I 63
- 34.46°, 2.602 Å, I 37
- 34.90°, 2.571 Å, I 45
- 35.07°, 2.559 Å, I 50
- 35.11°, 2.556 Å, I 59
- 55.67°, 1.651 Å, I 39

Atomic structure:
```
BaTlPb11
1.0
3.3037 -8.0672 0.0000
3.3037 8.0672 0.0000
-3.2718 0.0000 8.2481
Ba Tl Pb
1 1 11
Direct
0.0000 0.0000 0.0000 Ba
0.0000 0.0000 0.5000 Tl
0.0000 0.5000 0.0000 Pb
0.0029 0.6481 0.6462 Pb
0.2810 0.4965 0.7839 Pb
0.3519 0.9971 0.3538 Pb
0.4965 0.2810 0.7839 Pb
0.5000 0.0000 0.0000 Pb
0.5000 0.5000 0.5000 Pb
0.5035 0.7190 0.2161 Pb
0.6481 0.0029 0.6462 Pb
0.7190 0.5035 0.2161 Pb
0.9971 0.3519 0.3538 Pb
```